Record 1
AcLa7Ho3: computed powder diffraction line list (copper Kα), based on DFT lattice parameters and positions (PBE).
Intensities are scaled so that the largest is 100.

Principal peaks in the range 15° ≤ 2θ ≤ 90°, low angle first:
2θ = 22.92°, intensity 27
2θ = 27.11°, intensity 23
2θ = 27.30°, intensity 32
2θ = 29.58°, intensity 100
2θ = 30.20°, intensity 93
2θ = 30.62°, intensity 94
2θ = 32.05°, intensity 87
2θ = 36.51°, intensity 71
2θ = 48.95°, intensity 23
2θ = 62.33°, intensity 23

Crystal structure
a b c (Å): 11.889 10.274 6.680
angles (deg): 90.00 95.25 90.00
Space group C2/m (No. 12)
Asymmetric unit:
1 Ac 0.000 0.000 0.000
2 La 0.000 0.000 0.500
3 La 0.232 0.500 0.703
4 La 0.245 0.319 0.238
5 Ho 0.000 0.333 0.500
6 Ho 0.000 0.500 0.000

***

Record 2
AcLa4Ho15: computed powder diffraction line list (copper Kα), based on DFT lattice parameters and positions (PBE).
Intensities are scaled so that the largest is 100.

Principal peaks in the range 15° ≤ 2θ ≤ 90°, low angle first:
2θ = 30.44°, intensity 100
2θ = 35.16°, intensity 34
2θ = 35.57°, intensity 16
2θ = 50.57°, intensity 12
2θ = 50.88°, intensity 24
2θ = 60.18°, intensity 29
2θ = 60.73°, intensity 14
2θ = 63.35°, intensity 12
2θ = 82.39°, intensity 6
2θ = 82.87°, intensity 12

Crystal structure
a b c (Å): 5.105 5.105 25.237
angles (deg): 90.00 90.00 90.00
Space group P4/mmm (No. 123)
Asymmetric unit:
1 Ac 0.000 0.000 0.000
2 La 0.000 0.000 0.202
3 La 0.000 0.000 0.401
4 Ho 0.000 0.500 0.103
5 Ho 0.000 0.500 0.301
6 Ho 0.000 0.500 0.500
7 Ho 0.500 0.500 0.000
8 Ho 0.500 0.500 0.202
9 Ho 0.500 0.500 0.401

***

Record 3
Ac5La2Ho2: computed powder diffraction line list (copper Kα), based on DFT lattice parameters and positions (PBE).
Intensities are scaled so that the largest is 100.

Principal peaks in the range 15° ≤ 2θ ≤ 90°, low angle first:
2θ = 28.48°, intensity 100
2θ = 28.61°, intensity 33
2θ = 32.81°, intensity 47
2θ = 33.51°, intensity 21
2θ = 47.54°, intensity 16
2θ = 47.66°, intensity 16
2θ = 55.87°, intensity 16
2θ = 55.94°, intensity 10
2θ = 56.07°, intensity 16
2θ = 56.85°, intensity 14

Crystal structure
a b c (Å): 3.871 6.659 14.674
angles (deg): 86.30 82.49 73.18
Space group P-1 (No. 2)
Asymmetric unit:
1 Ac 0.000 0.000 0.000
2 Ac 0.106 0.223 0.562
3 Ac 0.214 0.454 0.117
4 La 0.327 0.679 0.666
5 Ho 0.441 0.897 0.223

***

Record 4
Ac4La7Ho: computed powder diffraction line list (copper Kα), based on DFT lattice parameters and positions (PBE).
Intensities are scaled so that the largest is 100.

Principal peaks in the range 15° ≤ 2θ ≤ 90°, low angle first:
2θ = 28.63°, intensity 34
2θ = 28.75°, intensity 100
2θ = 33.21°, intensity 46
2θ = 33.42°, intensity 22
2θ = 47.68°, intensity 25
2θ = 47.94°, intensity 17
2θ = 56.48°, intensity 10
2θ = 56.62°, intensity 20
2θ = 56.75°, intensity 15
2θ = 77.14°, intensity 10

Crystal structure
a b c (Å): 6.621 7.586 10.057
angles (deg): 100.57 109.11 90.05
Space group P-1 (No. 2)
Asymmetric unit:
1 Ac 0.172 0.164 0.171
2 Ac 0.328 0.581 0.830
3 La 0.001 0.757 0.498
4 La 0.171 0.671 0.173
5 La 0.333 0.083 0.828
6 La 0.500 0.500 0.500
7 Ho 0.500 0.000 0.500

***

Record 5
Ac9La2Ho: computed powder diffraction line list (copper Kα), based on DFT lattice parameters and positions (PBE).
Intensities are scaled so that the largest is 100.

Principal peaks in the range 15° ≤ 2θ ≤ 90°, low angle first:
2θ = 27.92°, intensity 100
2θ = 32.35°, intensity 51
2θ = 46.41°, intensity 39
2θ = 55.03°, intensity 47
2θ = 57.70°, intensity 14
2θ = 74.77°, intensity 19
2θ = 76.97°, intensity 6
2θ = 77.11°, intensity 12
2θ = 85.99°, intensity 5
2θ = 86.11°, intensity 9

Crystal structure
a b c (Å): 5.530 5.530 16.627
angles (deg): 90.00 90.00 90.00
Space group P4/mmm (No. 123)
Asymmetric unit:
1 Ac 0.000 0.000 0.000
2 Ac 0.000 0.000 0.332
3 Ac 0.000 0.500 0.164
4 Ac 0.000 0.500 0.500
5 La 0.500 0.500 0.332
6 Ho 0.500 0.500 0.000

***

Record 6
Ac2La4Ho7: computed powder diffraction line list (copper Kα), based on DFT lattice parameters and positions (PBE).
Intensities are scaled so that the largest is 100.

Principal peaks in the range 15° ≤ 2θ ≤ 90°, low angle first:
2θ = 26.15°, intensity 21
2θ = 28.54°, intensity 14
2θ = 29.29°, intensity 40
2θ = 31.47°, intensity 100
2θ = 32.86°, intensity 16
2θ = 34.82°, intensity 38
2θ = 49.60°, intensity 19
2θ = 50.54°, intensity 29
2θ = 60.76°, intensity 15
2θ = 61.60°, intensity 15

Crystal structure
a b c (Å): 6.2561 6.2561 13.6288
angles (deg): 90.00 90.00 120.00
Space group P-31m (No. 162)
Asymmetric unit:
1 Ac 0.3333 0.6667 0.0000
2 La 0.0000 0.0000 0.3920
3 La 0.3333 0.6667 0.5000
4 Ho 0.0000 0.0000 0.0000
5 Ho 0.0000 0.3525 0.2152